Record 1
Calculated powder XRD pattern
Compound: Br
Radiation: λ = 1.5418 Å (Cu Kα)
Structure: a DFT-relaxed cell (PBE, Alexandria)

Structural model:
```
data_Br
_chemical_formula_sum 'Br8'
_symmetry_space_group_name_H-M 'P b c m'
_symmetry_Int_Tables_number 57
_symmetry_space_group_name_Hall '-P 2c 2b'
_cell_length_a 5.1174
_cell_length_b 8.1903
_cell_length_c 8.4071
_cell_angle_alpha 90.00
_cell_angle_beta 90.00
_cell_angle_gamma 90.00
loop_
_atom_site_label
_atom_site_fract_x
_atom_site_fract_y
_atom_site_fract_z
Br1 0.0008 0.1242 0.2500
Br2 0.3007 0.6258 0.7500
```

The 6 most intense peaks (10° ≤ 2θ ≤ 90°), low angle first:
21.14°, rel. 100, (0 0 2); 23.06°, rel. 36, (1 1 1); 29.90°, rel. 71, (1 2 1); 42.90°, rel. 29, (1 2 3); 43.05°, rel. 63, (0 0 4); 53.40°, rel. 25, (2 2 3)

=====

Record 2
Calculated powder XRD pattern
Compound: Na4HfSe4
Radiation: λ = 1.5418 Å (Cu Kα)
Structure: a DFT-relaxed cell (PBE, Alexandria)

Structural model:
```
data_Na4HfSe4
_chemical_formula_sum 'Na8 Hf2 Se8'
_symmetry_space_group_name_H-M 'I -4 2 m'
_symmetry_Int_Tables_number 121
_symmetry_space_group_name_Hall 'I -4 2'
_cell_length_a 6.9682
_cell_length_b 6.9682
_cell_length_c 12.3318
_cell_angle_alpha 90.00
_cell_angle_beta 90.00
_cell_angle_gamma 90.00
loop_
_atom_site_label
_atom_site_fract_x
_atom_site_fract_y
_atom_site_fract_z
Na1 0.0000 0.0000 0.2079
Na2 0.0000 0.5000 0.0000
Hf1 0.0000 0.0000 0.5000
Se1 0.2093 0.2093 0.6189
```

The 6 most intense peaks (10° ≤ 2θ ≤ 90°), low angle first:
14.60°, rel. 100, (1 0 1); 18.00°, rel. 24, (1 1 0); 23.11°, rel. 69, (1 1 2); 36.17°, rel. 35, (2 1 3); 36.47°, rel. 29, (2 2 0); 39.01°, rel. 49, (2 0 4)

=====

Record 3
Calculated powder XRD pattern
Compound: Li4CdGe
Radiation: λ = 1.5418 Å (Cu Kα)
Structure: a DFT-relaxed cell (PBE, Alexandria)

Structural model:
```
data_Li4CdGe
_chemical_formula_sum 'Li4 Cd1 Ge1'
_symmetry_space_group_name_H-M 'P 6/m m m'
_symmetry_Int_Tables_number 191
_symmetry_space_group_name_Hall '-P 6 2'
_cell_length_a 4.4743
_cell_length_b 4.4743
_cell_length_c 5.5902
_cell_angle_alpha 90.00
_cell_angle_beta 90.00
_cell_angle_gamma 120.00
loop_
_atom_site_label
_atom_site_fract_x
_atom_site_fract_y
_atom_site_fract_z
Li1 0.3333 0.6667 0.2253
Cd1 0.0000 0.0000 0.5000
Ge1 0.0000 0.0000 0.0000
```

The 6 most intense peaks (10° ≤ 2θ ≤ 90°), low angle first:
22.95°, rel. 100, (1 0 0); 39.76°, rel. 58, (1 0 2); 40.31°, rel. 31, (1 1 0); 52.38°, rel. 19, (1 1 2); 57.91°, rel. 19, (2 0 2); 72.92°, rel. 18, (2 1 2)

=====

Record 4
Calculated powder XRD pattern
Compound: CoNi3Se6
Radiation: λ = 1.5418 Å (Cu Kα)
Structure: a DFT-relaxed cell (PBE, Alexandria)

Structural model:
```
data_CoNi3Se6
_chemical_formula_sum 'Co3 Ni9 Se18'
_symmetry_space_group_name_H-M 'R 3'
_symmetry_Int_Tables_number 146
_symmetry_space_group_name_Hall 'R 3'
_cell_length_a 6.1563
_cell_length_b 6.1563
_cell_length_c 15.8941
_cell_angle_alpha 90.00
_cell_angle_beta 90.00
_cell_angle_gamma 120.00
loop_
_atom_site_label
_atom_site_fract_x
_atom_site_fract_y
_atom_site_fract_z
Co1 0.0000 0.0000 0.0000
Ni1 0.0000 0.0000 0.3036
Ni2 0.0000 0.0000 0.5006
Ni3 0.0000 0.0000 0.8017
Se1 0.0011 0.6971 0.9019
Se2 0.0266 0.3555 0.0671
```

The 6 most intense peaks (10° ≤ 2θ ≤ 90°), low angle first:
20.06°, rel. 21, (0 1 2); 33.67°, rel. 100, (1 1 3); 40.76°, rel. 15, (0 2 4); 45.16°, rel. 53, (2 -1 6); 51.42°, rel. 43, (3 0 0); 60.43°, rel. 18, (1 1 9)

=====

Record 5
Calculated powder XRD pattern
Compound: Ce3SiO
Radiation: λ = 1.5418 Å (Cu Kα)
Structure: a DFT-relaxed cell (PBE, Alexandria)

Structural model:
```
data_Ce3SiO
_chemical_formula_sum 'Ce6 Si2 O2'
_symmetry_space_group_name_H-M 'P 1'
_symmetry_Int_Tables_number 1
_symmetry_space_group_name_Hall 'P 1'
_cell_length_a 5.8999
_cell_length_b 6.0642
_cell_length_c 6.6289
_cell_angle_alpha 71.69
_cell_angle_beta 89.38
_cell_angle_gamma 74.38
loop_
_atom_site_label
_atom_site_fract_x
_atom_site_fract_y
_atom_site_fract_z
Ce1 0.0000 0.0000 0.0000
Ce2 0.0111 0.4863 0.5259
Ce3 0.3282 0.3642 0.2402
Ce4 0.4371 0.4458 0.7330
Ce5 0.4900 0.7834 0.1528
Ce6 0.8372 0.9745 0.5010
Si1 0.3258 0.9867 0.6468
Si2 0.8840 0.5582 0.9238
O1 0.6172 0.1140 0.1038
O2 0.6653 0.3913 0.4465
```

The 6 most intense peaks (10° ≤ 2θ ≤ 90°), low angle first:
30.85°, rel. 56, (1 2 1); 31.47°, rel. 97, (1 0 -2); 31.81°, rel. 56, (1 2 0); 32.38°, rel. 74, (0 2 0); 33.21°, rel. 100, (2 1 1); 33.76°, rel. 85, (1 0 2)

=====

Record 6
Calculated powder XRD pattern
Compound: HfTiNb14
Radiation: λ = 1.5418 Å (Cu Kα)
Structure: a DFT-relaxed cell (PBE, Alexandria)

Structural model:
```
data_HfTiNb14
_chemical_formula_sum 'Hf2 Ti2 Nb28'
_symmetry_space_group_name_H-M 'C m m m'
_symmetry_Int_Tables_number 65
_symmetry_space_group_name_Hall '-C 2 2'
_cell_length_a 6.6189
_cell_length_b 9.5182
_cell_length_c 9.3308
_cell_angle_alpha 90.00
_cell_angle_beta 90.00
_cell_angle_gamma 90.00
loop_
_atom_site_label
_atom_site_fract_x
_atom_site_fract_y
_atom_site_fract_z
Hf1 0.0000 0.0000 0.0000
Ti1 0.0000 0.5000 0.0000
Nb1 0.0000 0.0000 0.5000
Nb2 0.0000 0.2501 0.2459
Nb3 0.0000 0.5000 0.5000
Nb4 0.2467 0.5000 0.2582
Nb5 0.2500 0.2500 0.0000
Nb6 0.2500 0.2500 0.5000
```

The 6 most intense peaks (10° ≤ 2θ ≤ 90°), low angle first:
37.81°, rel. 26, (0 4 0); 38.34°, rel. 100, (2 2 2); 38.60°, rel. 24, (0 0 4); 55.14°, rel. 17, (0 4 4); 68.62°, rel. 17, (2 6 2); 69.67°, rel. 24, (4 0 4)

=====

Record 7
Calculated powder XRD pattern
Compound: Sr5Hg6
Radiation: λ = 1.5418 Å (Cu Kα)
Structure: a DFT-relaxed cell (PBE, Alexandria)

Structural model:
```
data_Sr5Hg6
_chemical_formula_sum 'Sr10 Hg12'
_symmetry_space_group_name_H-M 'C 1 2/m 1'
_symmetry_Int_Tables_number 12
_symmetry_space_group_name_Hall '-C 2y'
_cell_length_a 17.6458
_cell_length_b 8.1379
_cell_length_c 5.5457
_cell_angle_alpha 90.00
_cell_angle_beta 107.67
_cell_angle_gamma 90.00
loop_
_atom_site_label
_atom_site_fract_x
_atom_site_fract_y
_atom_site_fract_z
Sr1 0.0000 0.0000 0.0000
Sr2 0.1465 0.5000 0.6497
Sr3 0.1743 0.0000 0.6739
Hg1 0.0000 0.2205 0.5000
Hg2 0.1707 0.2375 0.1716
```

The 6 most intense peaks (10° ≤ 2θ ≤ 90°), low angle first:
22.43°, rel. 26, (2 0 1); 22.68°, rel. 26, (4 0 -1); 31.51°, rel. 100, (2 2 1); 31.70°, rel. 98, (4 2 -1); 31.94°, rel. 48, (6 0 0); 32.29°, rel. 50, (2 0 -2)

=====

Record 8
Calculated powder XRD pattern
Compound: YNpScO6
Radiation: λ = 1.5418 Å (Cu Kα)
Structure: a DFT-relaxed cell (PBE, Alexandria)

Structural model:
```
data_YNpScO6
_chemical_formula_sum 'Y2 Np2 Sc2 O12'
_symmetry_space_group_name_H-M 'P -3 1 c'
_symmetry_Int_Tables_number 163
_symmetry_space_group_name_Hall '-P 3 2c'
_cell_length_a 5.5253
_cell_length_b 5.5253
_cell_length_c 9.5998
_cell_angle_alpha 90.00
_cell_angle_beta 90.00
_cell_angle_gamma 120.00
loop_
_atom_site_label
_atom_site_fract_x
_atom_site_fract_y
_atom_site_fract_z
Y1 0.0000 0.0000 0.0000
Np1 0.3333 0.6667 0.2500
Sc1 0.3333 0.6667 0.7500
O1 0.0073 0.3532 0.1366
```

The 6 most intense peaks (10° ≤ 2θ ≤ 90°), low angle first:
18.49°, rel. 34, (0 0 2); 20.74°, rel. 85, (1 0 1); 26.30°, rel. 100, (1 0 2); 32.41°, rel. 55, (1 1 0); 37.54°, rel. 38, (0 0 4); 50.37°, rel. 54, (1 1 4)

=====

Record 9
Calculated powder XRD pattern
Compound: Y2Zn3Cd6
Radiation: λ = 1.5418 Å (Cu Kα)
Structure: a DFT-relaxed cell (PBE, Alexandria)

Structural model:
```
data_Y2Zn3Cd6
_chemical_formula_sum 'Y2 Zn3 Cd6'
_symmetry_space_group_name_H-M 'P -6 2 m'
_symmetry_Int_Tables_number 189
_symmetry_space_group_name_Hall 'P -6 -2'
_cell_length_a 8.0260
_cell_length_b 8.0260
_cell_length_c 4.4336
_cell_angle_alpha 90.00
_cell_angle_beta 90.00
_cell_angle_gamma 120.00
loop_
_atom_site_label
_atom_site_fract_x
_atom_site_fract_y
_atom_site_fract_z
Y1 0.3333 0.6667 0.0000
Zn1 0.0000 0.6073 0.5000
Cd1 0.0000 0.2872 0.5000
Cd2 0.0000 0.7893 0.0000
```

The 6 most intense peaks (10° ≤ 2θ ≤ 90°), low angle first:
30.03°, rel. 94, (1 1 1); 34.13°, rel. 27, (2 1 0); 38.87°, rel. 29, (3 0 0); 39.89°, rel. 100, (2 1 1); 40.70°, rel. 34, (0 0 2); 64.98°, rel. 21, (4 1 1)

=====

Record 10
Calculated powder XRD pattern
Compound: Pr2Ge3Ir3
Radiation: λ = 1.5418 Å (Cu Kα)
Structure: a DFT-relaxed cell (PBE, Alexandria)

Structural model:
```
data_Pr2Ge3Ir3
_chemical_formula_sum 'Pr2 Ge3 Ir3'
_symmetry_space_group_name_H-M 'P 4/m m m'
_symmetry_Int_Tables_number 123
_symmetry_space_group_name_Hall '-P 4 2'
_cell_length_a 2.9037
_cell_length_b 2.9037
_cell_length_c 20.9709
_cell_angle_alpha 90.00
_cell_angle_beta 90.00
_cell_angle_gamma 90.00
loop_
_atom_site_label
_atom_site_fract_x
_atom_site_fract_y
_atom_site_fract_z
Pr1 0.0000 0.0000 0.2409
Ge1 0.0000 0.0000 0.0000
Ge2 0.0000 0.0000 0.3863
Ir1 0.0000 0.0000 0.1131
Ir2 0.0000 0.0000 0.5000
```

The 6 most intense peaks (10° ≤ 2θ ≤ 90°), low angle first:
12.66°, rel. 26, (0 0 3); 30.79°, rel. 100, (1 0 0); 34.21°, rel. 30, (0 0 8); 44.11°, rel. 38, (1 1 0); 46.68°, rel. 50, (1 0 8); 56.97°, rel. 28, (1 1 8)

=====

Record 11
Calculated powder XRD pattern
Compound: HfPF
Radiation: λ = 1.5418 Å (Cu Kα)
Structure: a DFT-relaxed cell (PBE, Alexandria)

Structural model:
```
data_HfPF
_chemical_formula_sum 'Hf4 P4 F4'
_symmetry_space_group_name_H-M 'P 42/m'
_symmetry_Int_Tables_number 84
_symmetry_space_group_name_Hall '-P 4c'
_cell_length_a 7.3795
_cell_length_b 7.3795
_cell_length_c 3.8117
_cell_angle_alpha 90.00
_cell_angle_beta 90.00
_cell_angle_gamma 90.00
loop_
_atom_site_label
_atom_site_fract_x
_atom_site_fract_y
_atom_site_fract_z
Hf1 0.1424 0.7111 0.0000
P1 0.2235 0.3856 0.0000
F1 0.0136 0.8190 0.5000
```

The 6 most intense peaks (10° ≤ 2θ ≤ 90°), low angle first:
24.12°, rel. 70, (2 0 0); 26.32°, rel. 73, (1 0 1); 27.02°, rel. 100, (1 2 0); 29.01°, rel. 96, (1 1 1); 43.80°, rel. 76, (3 0 1); 50.62°, rel. 59, (2 3 1)

=====

Record 12
Calculated powder XRD pattern
Compound: Pr5Nd4Mg2
Radiation: λ = 1.5418 Å (Cu Kα)
Structure: a DFT-relaxed cell (PBE, Alexandria)

Structural model:
```
data_Pr5Nd4Mg2
_chemical_formula_sum 'Pr10 Nd8 Mg4'
_symmetry_space_group_name_H-M 'C 1 2/m 1'
_symmetry_Int_Tables_number 12
_symmetry_space_group_name_Hall '-C 2y'
_cell_length_a 23.0874
_cell_length_b 3.6069
_cell_length_c 8.9906
_cell_angle_alpha 90.00
_cell_angle_beta 93.05
_cell_angle_gamma 90.00
loop_
_atom_site_label
_atom_site_fract_x
_atom_site_fract_y
_atom_site_fract_z
Pr1 0.0000 0.0000 0.0000
Pr2 0.1302 0.5000 0.1015
Pr3 0.1830 0.5000 0.4687
Nd1 0.0715 0.5000 0.7119
Nd2 0.2115 0.0000 0.8210
Mg1 0.0546 0.0000 0.3750
```

The 6 most intense peaks (10° ≤ 2θ ≤ 90°), low angle first:
30.46°, rel. 100, (2 0 -3); 31.46°, rel. 100, (6 0 2); 32.14°, rel. 95, (8 0 -1); 32.75°, rel. 82, (5 1 -1); 34.33°, rel. 60, (3 1 2); 51.93°, rel. 39, (11 1 1)

=====

Record 13
Calculated powder XRD pattern
Compound: AcNi2P3
Radiation: λ = 1.5418 Å (Cu Kα)
Structure: a DFT-relaxed cell (PBE, Alexandria)

Structural model:
```
data_AcNi2P3
_chemical_formula_sum 'Ac4 Ni8 P12'
_symmetry_space_group_name_H-M 'C m c m'
_symmetry_Int_Tables_number 63
_symmetry_space_group_name_Hall '-C 2c 2'
_cell_length_a 7.2311
_cell_length_b 10.4470
_cell_length_c 5.6485
_cell_angle_alpha 90.00
_cell_angle_beta 90.00
_cell_angle_gamma 90.00
loop_
_atom_site_label
_atom_site_fract_x
_atom_site_fract_y
_atom_site_fract_z
Ac1 0.0000 0.2103 0.2500
Ni1 0.1782 0.5000 0.0000
P1 0.0000 0.3890 0.7500
P2 0.1490 0.1112 0.7500
```

The 6 most intense peaks (10° ≤ 2θ ≤ 90°), low angle first:
21.70°, rel. 100, (1 1 1); 28.45°, rel. 42, (1 3 0); 30.06°, rel. 61, (2 2 0); 32.65°, rel. 64, (1 3 1); 36.16°, rel. 48, (0 2 2); 41.65°, rel. 36, (3 1 1)